This entry pairs a crystal structure of PaInAgO6 with its theoretical powder diffractogram. Radiation: Cu Kα, 1.54184 Å. Structure: a DFT-relaxed cell (PBE, Alexandria).
Lines closer than 0.1° are merged.

Structural model:
a b c (Å): 5.4467 5.4467 4.8045
angles (deg): 90.00 90.00 120.00
Positions (direct):
Pa: 0.0000 0.0000 0.0000
In: 0.3333 0.6667 0.5000
Ag: 0.6667 0.3333 0.5000
O: 0.3333 0.0055 0.7425
O: 0.3333 0.3278 0.2575
O: 0.6722 0.0055 0.2575
O: 0.6722 0.6667 0.7425
O: 0.9945 0.3278 0.7425
O: 0.9945 0.6667 0.2575

Largest 10 diffraction maxima, sorted by position, 2θ from 10° to 90°:
18.81°, intensity 115; 26.48°, intensity 1000; 32.89°, intensity 406; 42.71°, intensity 282; 50.67°, intensity 364; 54.93°, intensity 270; 58.72°, intensity 134; 61.11°, intensity 98; 75.29°, intensity 107; 80.64°, intensity 90

This entry pairs a crystal structure of InSiAgO4 with its theoretical powder diffractogram. Radiation: Cu Kα, 1.54184 Å. Structure: a DFT-relaxed cell (PBE, Alexandria).
Lines closer than 0.1° are merged.

Structural model:
a b c (Å): 5.4698 5.4698 5.4698
angles (deg): 121.27 121.27 87.81
Positions (direct):
In: 0.0000 0.0000 0.0000
Si: 0.7500 0.2500 0.5000
Ag: 0.5000 0.5000 0.0000
O: 0.0182 0.5717 0.8586
O: 0.4283 0.2869 0.4465
O: 0.7131 0.1596 0.1414
O: 0.8404 0.9818 0.5535

Largest 10 diffraction maxima, sorted by position, 2θ from 10° to 90°:
22.56°, intensity 336; 23.45°, intensity 594; 32.77°, intensity 1000; 33.41°, intensity 321; 40.69°, intensity 330; 47.97°, intensity 179; 52.32°, intensity 160; 54.06°, intensity 161; 58.09°, intensity 219; 59.31°, intensity 320

This entry pairs a crystal structure of InTcAgO5 with its theoretical powder diffractogram. Radiation: Cu Kα, 1.54184 Å. Structure: a DFT-relaxed cell (PBE, Alexandria).
Lines closer than 0.1° are merged.

Structural model:
a b c (Å): 6.1542 6.1542 7.5764
angles (deg): 101.41 101.41 112.79
Positions (direct):
In: 0.0000 0.0000 0.0000
In: 0.0000 0.0000 0.5000
Tc: 0.3064 0.6936 0.7500
Tc: 0.6936 0.3064 0.2500
Ag: 0.3007 0.6993 0.2500
Ag: 0.6993 0.3007 0.7500
O: 0.0610 0.6679 0.8552
O: 0.0755 0.9245 0.2500
O: 0.2394 0.4253 0.5668
O: 0.3321 0.9390 0.6448
O: 0.4253 0.2394 0.0668
O: 0.5747 0.7606 0.9332
O: 0.6679 0.0610 0.3552
O: 0.7606 0.5747 0.4332
O: 0.9245 0.0755 0.7500
O: 0.9390 0.3321 0.1448

Largest 10 diffraction maxima, sorted by position, 2θ from 10° to 90°:
25.56°, intensity 641; 28.05°, intensity 764; 29.68°, intensity 1000; 30.71°, intensity 955; 35.13°, intensity 438; 48.18°, intensity 285; 50.66°, intensity 267; 50.90°, intensity 319; 56.28°, intensity 225; 61.86°, intensity 211

This entry pairs a crystal structure of InAg2Os with its theoretical powder diffractogram. Radiation: Cu Kα, 1.54184 Å. Structure: a DFT-relaxed cell (PBE, Alexandria).
Lines closer than 0.1° are merged.

Structural model:
a b c (Å): 2.8723 2.8723 9.7383
angles (deg): 90.00 90.00 117.13
Positions (direct):
In: 0.0000 0.0000 0.0000
Ag: 0.0000 0.0000 0.4870
Ag: 0.5000 0.5000 0.7359
Os: 0.5000 0.5000 0.2420

Largest 10 diffraction maxima, sorted by position, 2θ from 10° to 90°:
36.67°, intensity 317; 36.92°, intensity 305; 39.83°, intensity 1000; 53.02°, intensity 211; 61.95°, intensity 66; 68.15°, intensity 197; 68.48°, intensity 188; 74.19°, intensity 77; 74.35°, intensity 76; 85.88°, intensity 106

This entry pairs a crystal structure of InAg2Os with its theoretical powder diffractogram. Radiation: Cu Kα, 1.54184 Å. Structure: a DFT-relaxed cell (PBE, Alexandria).
Lines closer than 0.1° are merged.

Structural model:
a b c (Å): 2.8281 4.2189 5.9141
angles (deg): 90.00 90.00 90.00
Positions (direct):
In: 0.0000 0.0000 0.0000
Ag: 0.0000 0.0000 0.5175
Ag: 0.5000 0.5000 0.2860
Os: 0.5000 0.5000 0.7805

Largest 10 diffraction maxima, sorted by position, 2θ from 10° to 90°:
14.98°, intensity 121; 37.13°, intensity 1000; 38.32°, intensity 942; 42.87°, intensity 341; 44.32°, intensity 602; 63.36°, intensity 404; 74.75°, intensity 124; 75.50°, intensity 124; 76.06°, intensity 217; 78.30°, intensity 219

This entry pairs a crystal structure of Tm4InAg2Os with its theoretical powder diffractogram. Radiation: Cu Kα, 1.54184 Å. Structure: a DFT-relaxed cell (PBE, Alexandria).
Lines closer than 0.1° are merged.

Structural model:
a b c (Å): 8.7222 8.7222 8.7222
angles (deg): 33.54 33.54 33.54
Positions (direct):
Tm: 0.1142 0.1142 0.1142
Tm: 0.3669 0.3669 0.3669
Tm: 0.6331 0.6331 0.6331
Tm: 0.8858 0.8858 0.8858
In: 0.5000 0.5000 0.5000
Ag: 0.2423 0.2423 0.2423
Ag: 0.7577 0.7577 0.7577
Os: 0.0000 0.0000 0.0000

Largest 10 diffraction maxima, sorted by position, 2θ from 10° to 90°:
10.76°, intensity 30; 20.69°, intensity 17; 32.67°, intensity 44; 35.67°, intensity 1000; 49.15°, intensity 52; 51.34°, intensity 162; 64.08°, intensity 312; 68.10°, intensity 45; 75.56°, intensity 91; 86.46°, intensity 118

This entry pairs a crystal structure of In5AgP8 with its theoretical powder diffractogram. Radiation: Cu Kα, 1.54184 Å. Structure: a DFT-relaxed cell (PBE, Alexandria).
Lines closer than 0.1° are merged.

Structural model:
a b c (Å): 5.5354 5.5354 10.8150
angles (deg): 90.00 90.00 90.00
Positions (direct):
In: 0.0000 0.0000 0.0000
In: 0.0000 0.5000 0.2757
In: 0.0000 0.5000 0.7243
In: 0.5000 0.0000 0.2757
In: 0.5000 0.0000 0.7243
Ag: 0.5000 0.5000 0.5000
P: 0.1908 0.1908 0.5496
P: 0.1908 0.8092 0.4504
P: 0.3566 0.3566 0.1369
P: 0.3566 0.6434 0.8631
P: 0.6434 0.3566 0.8631
P: 0.6434 0.6434 0.1369
P: 0.8092 0.1908 0.4504
P: 0.8092 0.8092 0.5496

Largest 10 diffraction maxima, sorted by position, 2θ from 10° to 90°:
18.00°, intensity 101; 28.14°, intensity 1000; 29.57°, intensity 132; 32.35°, intensity 241; 33.13°, intensity 93; 37.26°, intensity 162; 46.40°, intensity 152; 46.98°, intensity 180; 55.15°, intensity 257; 58.19°, intensity 98

This entry pairs a crystal structure of In2AgP with its theoretical powder diffractogram. Radiation: Cu Kα, 1.54184 Å. Structure: a DFT-relaxed cell (PBE, Alexandria).
Lines closer than 0.1° are merged.

Structural model:
a b c (Å): 3.8751 3.8751 7.3293
angles (deg): 105.10 105.10 60.05
Positions (direct):
In: 0.2407 0.2407 0.2241
In: 0.7593 0.7593 0.7759
Ag: 0.0000 0.0000 0.5000
P: 0.5000 0.5000 0.0000

Largest 10 diffraction maxima, sorted by position, 2θ from 10° to 90°:
26.90°, intensity 145; 27.91°, intensity 116; 31.61°, intensity 1000; 31.73°, intensity 497; 34.25°, intensity 120; 43.73°, intensity 181; 43.87°, intensity 362; 46.88°, intensity 499; 57.67°, intensity 254; 77.33°, intensity 141

This entry pairs a crystal structure of RbIn2AgP with its theoretical powder diffractogram. Radiation: Cu Kα, 1.54184 Å. Structure: a DFT-relaxed cell (PBE, Alexandria).
Lines closer than 0.1° are merged.

Structural model:
a b c (Å): 5.5594 5.5594 5.0514
angles (deg): 90.00 90.00 90.00
Positions (direct):
Rb: 0.0000 0.0000 0.0000
In: 0.0000 0.5000 0.5000
In: 0.5000 0.0000 0.5000
Ag: 0.5000 0.5000 0.5000
P: 0.5000 0.5000 0.0000

Largest 10 diffraction maxima, sorted by position, 2θ from 10° to 90°:
17.56°, intensity 526; 23.80°, intensity 564; 28.78°, intensity 714; 32.20°, intensity 1000; 35.54°, intensity 381; 36.91°, intensity 337; 40.44°, intensity 280; 46.18°, intensity 355; 48.71°, intensity 604; 59.60°, intensity 323

This entry pairs a crystal structure of InAgPS4 with its theoretical powder diffractogram. Radiation: Cu Kα, 1.54184 Å. Structure: a DFT-relaxed cell (PBE, Alexandria).
Lines closer than 0.1° are merged.

Structural model:
a b c (Å): 6.5816 6.5816 6.5816
angles (deg): 122.79 122.79 85.24
Positions (direct):
In: 0.0000 0.0000 0.0000
Ag: 0.5000 0.5000 0.0000
P: 0.7500 0.2500 0.5000
S: 0.0705 0.5438 0.8995
S: 0.4562 0.3557 0.5266
S: 0.6443 0.1710 0.1005
S: 0.8290 0.9295 0.4734

Largest 10 diffraction maxima, sorted by position, 2θ from 10° to 90°:
16.78°, intensity 181; 18.32°, intensity 208; 19.92°, intensity 427; 27.19°, intensity 1000; 33.94°, intensity 328; 40.48°, intensity 233; 42.50°, intensity 205; 45.51°, intensity 151; 47.34°, intensity 310; 49.45°, intensity 301

This entry pairs a crystal structure of In5AgPb6 with its theoretical powder diffractogram. Radiation: Cu Kα, 1.54184 Å. Structure: a DFT-relaxed cell (PBE, Alexandria).
Lines closer than 0.1° are merged.

Structural model:
a b c (Å): 7.9944 7.9944 10.0035
angles (deg): 90.00 90.00 147.47
Positions (direct):
In: 0.0000 0.0000 0.0000
In: 0.3362 0.6637 0.0000
In: 0.3397 0.6603 0.5000
In: 0.6603 0.3397 0.5000
In: 0.6637 0.3362 0.0000
Ag: 0.0000 0.0000 0.5000
Pb: 0.1649 0.8351 0.2560
Pb: 0.1649 0.8351 0.7440
Pb: 0.5000 0.5000 0.2643
Pb: 0.5000 0.5000 0.7357
Pb: 0.8351 0.1649 0.2560
Pb: 0.8351 0.1649 0.7440

Largest 10 diffraction maxima, sorted by position, 2θ from 10° to 90°:
32.02°, intensity 1000; 35.08°, intensity 197; 35.91°, intensity 180; 40.27°, intensity 136; 51.07°, intensity 131; 54.46°, intensity 112; 61.02°, intensity 156; 62.11°, intensity 140; 66.97°, intensity 116; 68.05°, intensity 115

This entry pairs a crystal structure of In5AgPb with its theoretical powder diffractogram. Radiation: Cu Kα, 1.54184 Å. Structure: a DFT-relaxed cell (PBE, Alexandria).
Lines closer than 0.1° are merged.

Structural model:
a b c (Å): 4.8598 4.8598 8.0873
angles (deg): 90.00 90.00 90.00
Positions (direct):
In: 0.0000 0.0000 0.0000
In: 0.0000 0.5000 0.2947
In: 0.0000 0.5000 0.7053
In: 0.5000 0.0000 0.2947
In: 0.5000 0.0000 0.7053
Ag: 0.5000 0.5000 0.5000
Pb: 0.5000 0.5000 0.0000

Largest 10 diffraction maxima, sorted by position, 2θ from 10° to 90°:
18.26°, intensity 133; 28.22°, intensity 274; 33.23°, intensity 122; 34.24°, intensity 1000; 37.00°, intensity 478; 50.57°, intensity 149; 53.32°, intensity 163; 59.48°, intensity 117; 63.58°, intensity 107; 64.91°, intensity 302